The following is a calculated powder XRD pattern of Sr2YTlW2O7. It was derived from a crystal structure in Alexandria, relaxed with GGA+U, using Cu Kα.
Kinematic intensities with the Lorentz-polarization factor, no thermal factor.

Crystal structure
a b c (Å): 12.7649 4.1147 4.1147
angles (deg): 86.24 90.00 90.00
Element x y z (fractional)
Sr 0.1805 0.0000 0.0000
Sr 0.8195 0.0000 0.0000
Y 0.5000 0.0109 0.0109
Tl 0.0000 0.5212 0.5212
W 0.3689 0.5387 0.5387
W 0.6311 0.5387 0.5387
O 0.0000 0.9322 0.9322
O 0.2106 0.5921 0.5921
O 0.3825 0.0456 0.5441
O 0.3825 0.5441 0.0456
O 0.6175 0.0456 0.5441
O 0.6175 0.5441 0.0456
O 0.7894 0.5921 0.5921

Main lines, in order of falling intensity (5 to 70 degrees two-theta):
2θ 30.25, I = 100; 2θ 29.75, I = 32; 2θ 44.11, I = 29; 2θ 31.82, I = 29; 2θ 21.64, I = 24; 2θ 53.11, I = 22; 2θ 55.72, I = 18; 2θ 6.92, I = 12; 2θ 41.66, I = 11; 2θ 35.15, I = 11; 2θ 62.44, I = 9; 2θ 57.62, I = 9